# 1
Computed powder X-ray diffraction pattern of Sn4Sb3Au for Cu Kα X-rays, from a cell relaxed with PBE.
Intensities are scaled so that the largest is 100.

Most intense lines, 2θ from 10° to 80°, by intensity:
two_theta, I_rel
22.00, 100
41.72, 98
38.60, 91
24.89, 70
23.13, 58
45.48, 56

Cell lengths 9.320, 8.089, 7.692 Å; angles 90.00, 90.00, 90.00 degrees
Element x y z (fractional)
Sn1 0.000 0.144 0.000
Sn2 0.000 0.845 0.528
Sn3 0.230 0.677 0.003
Sn4 0.270 0.323 0.503
Sn5 0.500 0.155 0.028
Sn6 0.500 0.856 0.500
Sn7 0.730 0.323 0.503
Sn8 0.770 0.677 0.003
Sb1 0.000 0.181 0.381
Sb2 0.248 0.665 0.384
Sb3 0.252 0.335 0.884
Sb4 0.500 0.819 0.881
Sb5 0.748 0.335 0.884
Sb6 0.752 0.665 0.384
Au1 0.000 0.834 0.877
Au2 0.500 0.166 0.377

***

# 2
Computed powder X-ray diffraction pattern of CaDyAgTe3 for Cu Kα X-rays, from a cell relaxed with PBE.
Intensities are scaled so that the largest is 100.

Most intense lines, 2θ from 10° to 80°, by intensity:
two_theta, I_rel
29.93, 100
12.25, 75
26.90, 61
33.86, 49
29.78, 46
50.50, 40

Cell lengths 8.500, 4.314, 10.214 Å; angles 90.00, 103.27, 90.00 degrees
Element x y z (fractional)
Ca1 0.207 0.250 0.274
Ca2 0.793 0.750 0.726
Dy1 0.320 0.750 0.828
Dy2 0.680 0.250 0.172
Ag1 0.084 0.250 0.586
Ag2 0.916 0.750 0.414
Te1 0.073 0.250 0.858
Te2 0.278 0.750 0.520
Te3 0.415 0.750 0.146
Te4 0.585 0.250 0.854
Te5 0.722 0.250 0.480
Te6 0.927 0.750 0.142

***

# 3
Computed powder X-ray diffraction pattern of LaSm5Y2Sc for Cu Kα X-rays, from a cell relaxed with PBE.
Intensities are scaled so that the largest is 100.

Most intense lines, 2θ from 10° to 80°, by intensity:
two_theta, I_rel
32.26, 100
31.46, 47
30.32, 40
28.12, 20
56.52, 20
26.71, 19

Cell lengths 10.383, 10.383, 10.497 Å; angles 90.00, 90.00, 148.21 degrees
Element x y z (fractional)
La1 0.085 0.915 0.500
La2 0.915 0.085 0.000
Sm1 0.015 0.985 0.784
Sm2 0.124 0.876 0.062
Sm3 0.202 0.798 0.748
Sm4 0.222 0.778 0.365
Sm5 0.480 0.520 0.063
Sm6 0.520 0.480 0.563
Sm7 0.778 0.222 0.865
Sm8 0.798 0.202 0.248
Sm9 0.876 0.124 0.562
Sm10 0.985 0.015 0.284
Y1 0.385 0.615 0.776
Y2 0.388 0.612 0.358
Y3 0.612 0.388 0.858
Y4 0.615 0.385 0.276
Sc1 0.303 0.697 0.057
Sc2 0.697 0.303 0.557

***

# 4
Computed powder X-ray diffraction pattern of TlAsSe2O8 for Cu Kα X-rays, from a cell relaxed with PBE.
Intensities are scaled so that the largest is 100.

Most intense lines, 2θ from 10° to 80°, by intensity:
two_theta, I_rel
27.45, 100
21.80, 82
34.67, 52
28.68, 49
20.35, 44
22.12, 40

Cell lengths 5.212, 5.212, 8.587 Å; angles 93.80, 93.80, 65.73 degrees
Element x y z (fractional)
Tl1 0.000 0.000 0.000
As1 0.000 0.000 0.500
Se1 0.371 0.371 0.700
Se2 0.629 0.629 0.300
O1 0.238 0.238 0.546
O2 0.241 0.727 0.684
O3 0.273 0.759 0.316
O4 0.305 0.305 0.874
O5 0.695 0.695 0.126
O6 0.727 0.241 0.684
O7 0.759 0.273 0.316
O8 0.762 0.762 0.454